Simulated PXRD pattern of SnF2 for Cu Kα (λ = 1.5418 Å), from a crystal structure in the Materials Project, relaxed with PBE.

Most intense lines, 5° ≤ 2θ ≤ 70°, by angle:
3.693 Å, 2θ 24.10, I 100.0, (1 1 2); 3.460 Å, 2θ 25.75, I 35.0, (2 0 -4); 3.267 Å, 2θ 27.30, I 57.5, (3 1 -2); 3.182 Å, 2θ 28.04, I 31.7, (4 0 0); 2.132 Å, 2θ 42.40, I 26.7, (1 1 -6); 1.998 Å, 2θ 45.39, I 39.1, (5 1 2)

Cell and atoms:
```
data_SnF2
_cell_length_a 13.393
_cell_length_b 5.135
_cell_length_c 14.200
_cell_angle_alpha 90.00
_cell_angle_beta 108.15
_cell_angle_gamma 90.00
_space_group_name_H-M_alt 'C 1 2/c 1'
_space_group_IT_number 15
loop_
_space_group_symop_operation_xyz
'x,y,z'
'-x,-y,-z'
'-x,y,-z+1/2'
'x,-y,z+1/2'
'x+1/2,y+1/2,z'
'-x+1/2,-y+1/2,-z'
'-x+1/2,y+1/2,-z+1/2'
'x+1/2,-y+1/2,z+1/2'
loop_
_atom_site_label
_atom_site_fract_x
_atom_site_fract_y
_atom_site_fract_z
Sn1 0.120 0.005 0.186
Sn2 0.128 0.477 0.943
F1 0.036 0.343 0.586
F2 0.114 0.214 0.821
F3 0.173 0.148 0.038
F4 0.250 0.234 0.696
```